Record 1
Starting from a structure optimized by DFT (GGA-PBE), the X-ray diffraction stick pattern of MnBeFe4 was simulated for a wavelength of 1.5418 Å.
Lines closer than 0.1° are merged.

Main lines, low angle first (2θ = 10–90°):
2θ = 11.05°, 8.009 Å, I 12.8, hkl 0 0 1
2θ = 33.57°, 2.670 Å, I 12.7, hkl 1 0 1
2θ = 38.96°, 2.312 Å, I 13.2, hkl 1 0 2
2θ = 45.29°, 2.002 Å, I 58.2, hkl 1 1 0
2θ = 46.77°, 1.943 Å, I 100.0, hkl 1 0 3
2θ = 65.98°, 1.416 Å, I 18.3, hkl 2 0 0
2θ = 70.55°, 1.335 Å, I 6.3, hkl 0 0 6
2θ = 76.10°, 1.251 Å, I 6.0, hkl 1 1 5
2θ = 84.72°, 1.144 Å, I 30.3, hkl 2 1 3
2θ = 87.91°, 1.111 Å, I 12.2, hkl 1 1 6

abc: 2.8316 2.8316 8.0094
angles: 90.00 90.00 90.00
Atoms (fractional coordinates):
Mn 0.0000 0.0000 0.0000
Be 0.5000 0.5000 0.5000
Fe 0.0000 0.0000 0.3481
Fe 0.0000 0.0000 0.6519
Fe 0.5000 0.5000 0.1752
Fe 0.5000 0.5000 0.8248

---

Record 2
Starting from a structure optimized by DFT (GGA-PBE), the X-ray diffraction stick pattern of Sb6Pb4S13 was simulated for a wavelength of 1.5418 Å.
Lines closer than 0.1° are merged.

Main lines, low angle first (2θ = 10–90°):
2θ = 21.43°, 4.146 Å, I 64.8, hkl 0 3 -3
2θ = 22.15°, 4.013 Å, I 63.2, hkl 1 0 0
2θ = 22.94°, 3.876 Å, I 68.0, hkl 0 2 4
2θ = 23.74°, 3.748 Å, I 72.7, hkl 0 4 2
2θ = 25.55°, 3.486 Å, I 97.4, hkl 0 4 -3
2θ = 27.18°, 3.281 Å, I 67.1, hkl 0 5 1
2θ = 30.09°, 2.969 Å, I 82.4, hkl -1 3 3
2θ = 32.37°, 2.766 Å, I 100.0, hkl 1 1 -5
2θ = 32.73°, 2.736 Å, I 80.4, hkl 1 -2 4
2θ = 44.88°, 2.020 Å, I 71.0, hkl 2 0 -1

abc: 4.0408 16.8166 17.8949
angles: 91.85 95.51 91.60
Atoms (fractional coordinates):
Sb 0.0000 0.0000 0.0000
Sb 0.0030 0.6117 0.7756
Sb 0.1076 0.5333 0.9967
Sb 0.1101 0.1514 0.1900
Sb 0.3070 0.9073 0.1869
Sb 0.3221 0.5314 0.3743
Sb 0.4123 0.0559 0.3767
Sb 0.4250 0.4521 0.5978
Sb 0.5120 0.3881 0.8292
Sb 0.6509 0.8133 0.7054
Sb 0.9027 0.0221 0.5714
Sb 0.9178 0.6699 0.5490
Pb 0.4957 0.0431 0.7983
Pb 0.5813 0.2174 0.9902
Pb 0.6340 0.7524 0.9448
Pb 0.6974 0.3633 0.2090
Pb 0.7280 0.6934 0.1656
Pb 0.8118 0.3180 0.4340
Pb 0.8276 0.8384 0.3848
Pb 0.9079 0.2537 0.6735
S 0.0061 0.8120 0.5967
S 0.0263 0.3683 0.9227
S 0.0313 0.1163 0.9180
S 0.0722 0.7577 0.8121
S 0.1390 0.2728 0.1149
S 0.1671 0.6831 0.0419
S 0.2653 0.3842 0.3316
S 0.2852 0.7852 0.2618
S 0.3639 0.3104 0.5568
S 0.3829 0.9414 0.4612
S 0.4165 0.6992 0.4573
S 0.4416 0.1021 0.6279
S 0.4610 0.2470 0.7882
S 0.5185 0.9345 0.9174
S 0.5278 0.6446 0.6693
S 0.5957 0.5866 0.8782
S 0.6227 0.0885 0.0880
S 0.6625 0.5039 0.0838
S 0.7047 0.2118 0.2755
S 0.7236 0.8492 0.1033
S 0.7704 0.5621 0.2875
S 0.7969 0.9716 0.2911
S 0.8401 0.4813 0.4930
S 0.8967 0.1209 0.4627
S 0.9223 0.4224 0.7039
S 0.9477 0.9518 0.7277